K2OsCl6: computed powder diffractogram (a wavelength of 1.5418 Å), based on a crystal structure in the Materials Project, relaxed with PBE.
Intensities are scaled so that the largest is 100.

Structure:
Cell lengths 7.0556, 7.0556, 7.0556 Å; angles 60.00, 60.00, 60.00 degrees
Element x y z (fractional)
K 0.2500 0.2500 0.2500
K 0.7500 0.7500 0.7500
Os 0.0000 0.0000 0.0000
Cl 0.2357 0.2357 0.7643
Cl 0.2357 0.7643 0.2357
Cl 0.2357 0.7643 0.7643
Cl 0.7643 0.2357 0.2357
Cl 0.7643 0.2357 0.7643
Cl 0.7643 0.7643 0.2357

Main lines, in order of rising 2θ (5 to 70 degrees two-theta):
d/Å	I_rel
5.761	100
4.989	40
3.528	43
3.009	47
2.495	50
2.231	19
2.037	19
1.920	24
1.764	32
1.687	23